Structure and simulated powder XRD pattern of Li2MnP2O7 (a crystal structure in Alexandria, relaxed with GGA+U; Cu Kα (weighted mean of Kα1 and Kα2)).

Main lines, in order of rising 2θ (15° ≤ 2θ ≤ 90°):
2θ/deg	I_rel
21.79	100
26.73	19
29.97	41
34.80	25
37.34	24
40.43	17
41.41	12
44.42	11
62.38	16
66.78	11

Cell and atoms:
Lattice parameters (Å, degrees): 5.157 5.157 13.678 100.87 100.87 60.00
Element x y z (fractional)
1 Li 0.130 0.631 0.892
2 Li 0.369 0.870 0.608
3 Li 0.631 0.130 0.392
4 Li 0.870 0.369 0.108
5 Mn 0.000 0.500 0.500
6 Mn 0.500 0.000 0.000
7 P 0.210 0.710 0.130
8 P 0.290 0.790 0.370
9 P 0.710 0.210 0.630
10 P 0.790 0.290 0.870
11 O 0.023 0.093 0.402
12 O 0.093 0.023 0.902
13 O 0.214 0.407 0.098
14 O 0.248 0.752 0.250
15 O 0.287 0.522 0.402
16 O 0.407 0.214 0.598
17 O 0.478 0.713 0.098
18 O 0.522 0.287 0.902
19 O 0.593 0.786 0.402
20 O 0.713 0.478 0.598
21 O 0.752 0.248 0.750
22 O 0.786 0.593 0.902
23 O 0.907 0.977 0.098
24 O 0.977 0.907 0.598